Diffraction record for Y4Pd3Pt. The powder diffraction line list is theoretical, not measured: it uses DFT lattice parameters and positions (PBE) and Cu Kα, 1.54184 Å.

Peak list (10 most intense, 10 to 90 degrees two-theta, in order of rising 2θ)
- 2θ 16.80, intensity 16
- 2θ 32.06, intensity 100
- 2θ 33.98, intensity 29
- 2θ 39.36, intensity 64
- 2θ 40.35, intensity 88
- 2θ 48.78, intensity 20
- 2θ 52.93, intensity 16
- 2θ 64.40, intensity 29
- 2θ 74.85, intensity 18
- 2θ 80.48, intensity 20

Cell: 3.734 4.583 10.554 Å, 90.00 90.00 90.00°
Space group Pmm2 (No. 25)
One atom of each set of equivalent atoms:
Y 0.000 0.000 0.000 [1 per cell]
Y 0.000 0.500 0.272 [1 per cell]
Y 0.500 0.000 0.494 [1 per cell]
Y 0.500 0.500 0.772 [1 per cell]
Pd 0.000 0.000 0.720 [1 per cell]
Pd 0.000 0.500 0.550 [1 per cell]
Pd 0.500 0.500 0.047 [1 per cell]
Pt 0.500 0.000 0.221 [1 per cell]

Diffraction record for Ho4Pd3. The powder diffraction line list is theoretical, not measured: it uses DFT lattice parameters and positions (PBE) and Cu Kα, 1.54184 Å.

Peak list (10 most intense, 10 to 90 degrees two-theta, in order of rising 2θ)
- 2θ 11.01, intensity 3
- 2θ 25.68, intensity 14
- 2θ 36.63, intensity 100
- 2θ 52.77, intensity 18
- 2θ 65.79, intensity 9
- 2θ 66.00, intensity 27
- 2θ 77.75, intensity 6
- 2θ 77.99, intensity 6
- 2θ 89.19, intensity 8
- 2θ 89.37, intensity 8

Cell: 4.9004 4.9004 24.1011 Å, 90.00 90.00 120.00°
Space group R-3m (No. 166, hexagonal axes)
One atom of each set of equivalent atoms:
Ho 0.0000 0.0000 0.1247 [6 per cell]
Ho 0.0000 0.0000 0.3748 [6 per cell]
Pd 0.0000 0.0000 0.2511 [6 per cell]
Pd 0.0000 0.0000 0.5000 [3 per cell]